This entry pairs a crystal structure of Ca2Y3Si3O13 with its calculated X-ray diffraction stick pattern. Radiation: Cu Kα (weighted mean of Kα1 and Kα2). Structure: a GGA-PBE-relaxed structure.
Intensities are scaled so that the largest is 100.

Peak list (10 most intense, 2θ = 10–80°, in order of rising 2θ)
2theta	I (rel.)	hkl
21.7	16	2 0 0
25.8	34	0 2 0
28.0	16	0 2 1
28.9	17	1 0 2
31.7	100	1 1 2
32.1	27	2 2 -1
32.8	25	3 0 0
46.6	19	4 2 -2
49.3	37	1 3 2
51.9	16	0 2 4

Structure:
abc: 9.4428 6.9122 9.4440
angles: 90.00 119.81 90.00
Space group P2_1 (No. 4)
Unique sites:
1 Ca 0.1687 0.0000 0.3341 (multiplicity 2)
2 Ca 0.1689 0.4949 0.3354 (multiplicity 2)
3 Y 0.2529 0.7465 0.9939 (multiplicity 2)
4 Y 0.2564 0.2464 0.7521 (multiplicity 2)
5 Y 0.4932 0.2457 0.2401 (multiplicity 2)
6 Si 0.1078 0.2470 0.9768 (multiplicity 2)
7 Si 0.1329 0.7468 0.6106 (multiplicity 2)
8 Si 0.4775 0.7460 0.3681 (multiplicity 2)
9 O 0.0240 0.7458 0.7003 (multiplicity 2)
10 O 0.0268 0.7502 0.4111 (multiplicity 2)
11 O 0.0918 0.7498 0.1162 (multiplicity 2)
12 O 0.1670 0.0608 0.9097 (multiplicity 2)
13 O 0.1711 0.4316 0.9121 (multiplicity 2)
14 O 0.1992 0.2462 0.1749 (multiplicity 2)
15 O 0.2587 0.5607 0.6691 (multiplicity 2)
16 O 0.2612 0.9307 0.6753 (multiplicity 2)
17 O 0.3240 0.2456 0.5254 (multiplicity 2)
18 O 0.3848 0.7495 0.4755 (multiplicity 2)
19 O 0.4104 0.5603 0.2423 (multiplicity 2)
20 O 0.4129 0.9316 0.2409 (multiplicity 2)
21 O 0.4990 0.2461 0.9983 (multiplicity 2)